Theoretical powder XRD pattern of Cr2Hg2O7 for Cu Kα, 1.54184 Å, from a DFT-relaxed cell (GGA+U, Alexandria).

Most intense lines, 2θ from 15° to 90°, low angle first:
2θ = 17.8°, rel. 52; 2θ = 23.0°, rel. 30; 2θ = 23.4°, rel. 100; 2θ = 25.5°, rel. 95; 2θ = 26.2°, rel. 35; 2θ = 29.4°, rel. 45; 2θ = 29.7°, rel. 62; 2θ = 32.5°, rel. 31; 2θ = 36.0°, rel. 32; 2θ = 37.0°, rel. 37

Atomic structure:
Cell: 8.3064 9.8009 10.7304 Å, 90.00 111.51 90.00°
Space group C2/c (No. 15)
Unique sites:
1 Cr 0.1803 0.0610 0.2236 [8 per cell]
2 Hg 0.0341 0.3069 0.9903 [8 per cell]
3 O 0.0000 0.1411 0.2500 [4 per cell]
4 O 0.1267 0.0844 0.6477 [8 per cell]
5 O 0.1408 0.4481 0.6269 [8 per cell]
6 O 0.2220 0.1786 0.1139 [8 per cell]